[1]
The following is a simulated powder XRD pattern of KNaSrMg5Si8O24. It was derived from a DFT-relaxed cell (GGA-PBE, the Materials Project), using Cu Kα.
Kinematic intensities with the Lorentz-polarization factor, no thermal factor.

Most intense lines, 15° ≤ 2θ ≤ 90°, by angle:
d/Å  I (rel.)
3.424  100
3.394  72
3.261  47
2.991  47
2.839  46
2.756  74
2.646  30
2.560  72
2.422  27
2.357  35
1.697  29
1.501  26

Cell and atoms:
Lattice parameters (Å, degrees): 5.283 10.255 10.626 114.90 97.45 104.27
Sites, in units of the cell vectors:
K  0.000  0.000  0.000
Na  0.729  0.210  0.437
Sr  0.292  0.774  0.564
Mg  0.106  0.587  0.190
Mg  0.323  0.304  0.625
Mg  0.508  0.489  0.993
Mg  0.687  0.668  0.351
Mg  0.908  0.389  0.793
Si  0.152  0.945  0.335
Si  0.205  0.374  0.335
Si  0.388  0.674  0.827
Si  0.461  0.137  0.827
Si  0.559  0.845  0.163
Si  0.626  0.302  0.163
Si  0.803  0.600  0.652
Si  0.872  0.036  0.652
O  0.065  0.424  0.992
O  0.071  0.780  0.337
O  0.123  0.708  0.763
O  0.147  0.018  0.736
O  0.196  0.375  0.485
O  0.288  0.541  0.337
O  0.310  0.093  0.485
O  0.321  0.508  0.817
O  0.352  0.937  0.222
O  0.398  0.276  0.251
O  0.487  0.165  0.994
O  0.498  0.686  0.171
O  0.518  0.293  0.817
O  0.529  0.812  0.994
O  0.611  0.702  0.736
O  0.663  0.040  0.764
O  0.695  0.469  0.171
O  0.713  0.880  0.507
O  0.722  0.437  0.651
O  0.815  0.610  0.507
O  0.874  0.959  0.251
O  0.892  0.268  0.221
O  0.949  0.552  0.992
O  0.950  0.198  0.651

***

[2]
The following is a simulated powder XRD pattern of K2Na2MgTi2O6. It was derived from a DFT-relaxed cell (GGA-PBE, the Materials Project), using Cu Kα.
Kinematic intensities with the Lorentz-polarization factor, no thermal factor.

Most intense lines, 15° ≤ 2θ ≤ 90°, by angle:
d/Å  I (rel.)
5.854  73
5.496  100
4.187  35
3.300  29
2.967  35
2.869  60
2.849  52
2.760  62
2.657  44
2.071  54
1.976  28
1.424  24

Cell and atoms:
Lattice parameters (Å, degrees): 5.724 6.265 6.639 61.98 85.31 85.29
Sites, in units of the cell vectors:
K  0.213  0.485  0.132
K  0.787  0.515  0.868
Na  0.214  0.135  0.875
Na  0.786  0.865  0.125
Mg  0.500  0.500  0.500
Ti  0.241  0.909  0.535
Ti  0.759  0.091  0.465
O  0.042  0.048  0.275
O  0.239  0.565  0.688
O  0.406  0.169  0.541
O  0.594  0.831  0.459
O  0.761  0.435  0.312
O  0.958  0.952  0.725

***

[3]
The following is a simulated powder XRD pattern of K2Na2MgTi2O6. It was derived from a DFT-relaxed cell (GGA-PBE, the Materials Project), using Cu Kα.
Kinematic intensities with the Lorentz-polarization factor, no thermal factor.

Most intense lines, 15° ≤ 2θ ≤ 90°, by angle:
d/Å  I (rel.)
5.248  45
3.349  39
2.965  100
2.862  30
2.852  49
2.757  44
2.425  17
2.020  22
1.985  39
1.980  38
1.667  16
1.629  14

Cell and atoms:
Lattice parameters (Å, degrees): 7.280 7.280 5.514 90.06 90.06 133.88
Sites, in units of the cell vectors:
K  0.000  0.000  0.000
K  0.559  0.441  0.500
Na  0.123  0.877  0.500
Na  0.333  0.667  0.000
Mg  0.310  0.690  0.500
Ti  0.719  0.281  0.000
Ti  0.819  0.181  0.500
O  0.525  0.008  0.263
O  0.530  0.006  0.742
O  0.587  0.413  0.000
O  0.956  0.044  0.500
O  0.992  0.475  0.737
O  0.994  0.470  0.258

***

[4]
The following is a simulated powder XRD pattern of KMgNbO3. It was derived from a DFT-relaxed cell (GGA-PBE, the Materials Project), using Cu Kα.
Kinematic intensities with the Lorentz-polarization factor, no thermal factor.

Most intense lines, 15° ≤ 2θ ≤ 90°, by angle:
d/Å  I (rel.)
5.628  64
3.698  68
3.656  67
2.814  24
2.756  58
2.745  57
2.726  100
2.676  96
1.969  22
1.945  82
1.586  26
1.551  25

Cell and atoms:
Lattice parameters (Å, degrees): 3.891 3.891 6.199 107.20 107.20 90.22
Sites, in units of the cell vectors:
K  0.000  0.000  0.000
Mg  0.346  0.346  0.694
Nb  0.705  0.705  0.406
O  0.293  0.796  0.588
O  0.530  0.530  0.058
O  0.796  0.293  0.588

***

[5]
The following is a simulated powder XRD pattern of KMgNbO3. It was derived from a DFT-relaxed cell (GGA-PBE, the Materials Project), using Cu Kα.
Kinematic intensities with the Lorentz-polarization factor, no thermal factor.

Most intense lines, 15° ≤ 2θ ≤ 90°, by angle:
d/Å  I (rel.)
5.642  48
3.684  100
2.821  18
2.756  85
2.712  74
2.702  73
1.970  24
1.949  71
1.723  16
1.580  41
1.553  19
1.377  15

Cell and atoms:
Lattice parameters (Å, degrees): 3.898 3.898 6.268 107.95 107.95 89.92
Sites, in units of the cell vectors:
K  0.000  0.000  0.000
Mg  0.343  0.343  0.691
Nb  0.700  0.700  0.404
O  0.290  0.791  0.585
O  0.525  0.525  0.057
O  0.791  0.290  0.585

***

[6]
The following is a simulated powder XRD pattern of KMgNbO3. It was derived from a DFT-relaxed cell (GGA-PBE, the Materials Project), using Cu Kα.
Kinematic intensities with the Lorentz-polarization factor, no thermal factor.

Most intense lines, 15° ≤ 2θ ≤ 90°, by angle:
d/Å  I (rel.)
4.283  52
4.259  25
3.260  19
2.918  21
2.828  100
2.142  23
2.034  65
2.024  32
1.635  16
1.630  13
1.428  16
1.413  14

Cell and atoms:
Lattice parameters (Å, degrees): 4.388 4.388 4.362 99.51 99.51 80.39
Sites, in units of the cell vectors:
K  0.000  0.000  0.000
Mg  0.316  0.316  0.687
Nb  0.624  0.624  0.375
O  0.113  0.607  0.391
O  0.607  0.113  0.391
O  0.610  0.610  0.883

***

[7]
The following is a simulated powder XRD pattern of KMgNbO3. It was derived from a DFT-relaxed cell (GGA-PBE, the Materials Project), using Cu Kα.
Kinematic intensities with the Lorentz-polarization factor, no thermal factor.

Most intense lines, 15° ≤ 2θ ≤ 90°, by angle:
d/Å  I (rel.)
4.515  100
4.352  79
3.133  44
3.095  70
3.041  95
2.522  63
2.257  71
2.125  58
1.960  61
1.813  41
1.547  38
1.441  42

Cell and atoms:
Lattice parameters (Å, degrees): 4.251 4.515 4.352 90.00 90.00 90.00
Sites, in units of the cell vectors:
K  0.000  0.000  0.000
Mg  0.000  0.500  0.298
Nb  0.500  0.500  0.736
O  0.000  0.500  0.760
O  0.500  0.000  0.709
O  0.500  0.500  0.231

***

[8]
The following is a simulated powder XRD pattern of KMgNbO3. It was derived from a DFT-relaxed cell (GGA-PBE, the Materials Project), using Cu Kα.
Kinematic intensities with the Lorentz-polarization factor, no thermal factor.

Most intense lines, 15° ≤ 2θ ≤ 90°, by angle:
d/Å  I (rel.)
4.929  83
4.156  24
3.177  100
2.939  97
2.464  63
2.078  72
1.915  25
1.888  52
1.739  34
1.589  56
1.469  21
1.262  24

Cell and atoms:
Lattice parameters (Å, degrees): 4.156 4.156 4.929 90.00 90.00 90.00
Sites, in units of the cell vectors:
K  0.000  0.000  0.000
Mg  0.000  0.000  0.500
Nb  0.500  0.500  0.500
O  0.000  0.500  0.500
O  0.500  0.000  0.500
O  0.500  0.500  0.000

***

[9]
The following is a simulated powder XRD pattern of KMgNbO3. It was derived from a DFT-relaxed cell (GGA-PBE, the Materials Project), using Cu Kα.
Kinematic intensities with the Lorentz-polarization factor, no thermal factor.

Most intense lines, 15° ≤ 2θ ≤ 90°, by angle:
d/Å  I (rel.)
4.931  68
3.850  65
3.559  69
3.210  100
2.465  22
2.406  25
2.383  55
1.993  19
1.955  19
1.853  20
1.605  23
1.463  23

Cell and atoms:
Lattice parameters (Å, degrees): 5.136 5.136 5.142 102.68 102.68 77.31
Sites, in units of the cell vectors:
K  0.000  0.000  0.000
Mg  0.669  0.669  0.333
Nb  0.402  0.402  0.600
O  0.061  0.566  0.437
O  0.563  0.563  0.942
O  0.566  0.061  0.437